Record 1
Simulated powder diffractogram
Compound: TbHo4Zr
Radiation: Cu Kα
Structure: the PBE geometry in Alexandria
No peak broadening, texture or thermal motion is included.

Most intense lines, 10 to 90 degrees two-theta, sorted by position:
Position (°2θ), I (rel.)
31.5, 100
31.7, 100
36.5, 34
36.6, 34
36.9, 32
52.9, 46
62.4, 14
62.6, 14
62.8, 14
62.9, 14

Structural model:
Cell: 3.463 6.988 7.714 Å, 103.05 102.91 90.18°
Space group P-1 (No. 2)
Asymmetric unit:
Tb (0.000, 0.000, 0.000) [1 per cell]
Ho (0.338, 0.180, 0.677) [2 per cell]
Ho (0.340, 0.660, 0.679) [2 per cell]
Zr (0.000, 0.500, 0.000) [1 per cell]


Record 2
Simulated powder diffractogram
Compound: LaPr15Dy4
Radiation: Cu Kα
Structure: the PBE geometry in Alexandria
No peak broadening, texture or thermal motion is included.

Most intense lines, 10 to 90 degrees two-theta, sorted by position:
Position (°2θ), I (rel.)
29.7, 100
34.4, 34
34.5, 17
49.4, 12
49.5, 24
58.7, 29
58.9, 14
61.7, 12
80.2, 6
80.4, 11

Structural model:
Cell: 5.218 5.218 25.987 Å, 90.00 90.00 90.00°
Space group P4/mmm (No. 123)
Asymmetric unit:
La (0.000, 0.000, 0.000) [1 per cell]
Pr (0.000, 0.500, 0.103) [4 per cell]
Pr (0.000, 0.500, 0.301) [4 per cell]
Pr (0.000, 0.500, 0.500) [2 per cell]
Pr (0.500, 0.500, 0.000) [1 per cell]
Pr (0.500, 0.500, 0.203) [2 per cell]
Pr (0.500, 0.500, 0.401) [2 per cell]
Dy (0.000, 0.000, 0.202) [2 per cell]
Dy (0.000, 0.000, 0.401) [2 per cell]


Record 3
Simulated powder diffractogram
Compound: K3ErPa3Se8
Radiation: Cu Kα
Structure: the PBE geometry in Alexandria
No peak broadening, texture or thermal motion is included.

Most intense lines, 10 to 90 degrees two-theta, sorted by position:
Position (°2θ), I (rel.)
11.2, 95
25.1, 25
29.1, 100
36.4, 28
39.4, 38
43.7, 34
45.3, 20
53.4, 18
71.4, 16
75.5, 17

Structural model:
Cell: 8.2767 8.2767 23.7872 Å, 90.00 90.00 120.00°
Space group R-3m (No. 166, hexagonal axes)
Asymmetric unit:
K (0.0000, 0.5000, 0.0000) [9 per cell]
Er (0.0000, 0.0000, 0.5000) [3 per cell]
Pa (0.0000, 0.5000, 0.5000) [9 per cell]
Se (0.0000, 0.0000, 0.2375) [6 per cell]
Se (0.0024, 0.5012, 0.2348) [18 per cell]